This entry pairs a crystal structure of Nd12Dy5Ho with its computed powder diffractogram. Radiation: Cu Kα X-rays. Structure: a crystal structure in Alexandria, relaxed with PBE.

Cell and atoms:
Cell: 15.390 15.436 5.148 Å, 90.00 90.00 90.00°
Space group Cmmm (No. 65)
One atom of each set of equivalent atoms:
1 Nd 0.165 0.000 0.000
2 Nd 0.165 0.167 0.500
3 Nd 0.165 0.333 0.000
4 Nd 0.165 0.500 0.500
5 Dy 0.000 0.000 0.500
6 Dy 0.000 0.167 0.000
7 Dy 0.000 0.333 0.500
8 Ho 0.000 0.500 0.000

Most intense lines, 2θ from 5° to 70°, most intense first:
2θ = 30.11°, I = 100.0, (3 3 1); 2θ = 50.19°, I = 36.3, (0 6 2); 2θ = 34.86°, I = 33.9, (0 6 0); 2θ = 59.60°, I = 28.9, (3 9 1); 2θ = 34.98°, I = 16.8, (6 0 0); 2θ = 59.75°, I = 14.3, (9 3 1); 2θ = 62.59°, I = 12.4, (6 6 2)

This entry pairs a crystal structure of PrCu4Pd with its computed powder diffractogram. Radiation: Cu Kα X-rays. Structure: a crystal structure in Alexandria, relaxed with PBE.

Cell and atoms:
Cell: 5.1827 5.1827 4.2209 Å, 90.00 90.00 120.00°
Space group P-6m2 (No. 187)
One atom of each set of equivalent atoms:
1 Pr 0.0000 0.0000 0.0000
2 Cu 0.5034 0.0067 0.5000
3 Cu 0.6667 0.3333 0.0000
4 Pd 0.3333 0.6667 0.0000

Most intense lines, 2θ from 5° to 70°, most intense first:
2θ = 40.86°, I = 100.0, (1 1 1); 2θ = 34.61°, I = 33.0, (1 1 0); 2θ = 29.04°, I = 27.7, (1 0 1); 2θ = 42.85°, I = 26.7, (0 0 2); 2θ = 40.18°, I = 24.0, (2 0 0); 2θ = 66.28°, I = 22.9, (3 0 1); 2θ = 56.21°, I = 16.2, (1 1 2); 2θ = 60.19°, I = 13.9, (2 0 2); 2θ = 45.79°, I = 11.5, (2 0 1); 2θ = 21.05°, I = 7.8, (0 0 1)

This entry pairs a crystal structure of Ho4PdPt3 with its computed powder diffractogram. Radiation: Cu Kα X-rays. Structure: a crystal structure in Alexandria, relaxed with PBE.

Cell and atoms:
Cell: 3.758 4.458 10.518 Å, 90.00 90.00 90.00°
Space group Pmm2 (No. 25)
One atom of each set of equivalent atoms:
1 Ho 0.000 0.000 0.000
2 Ho 0.000 0.500 0.274
3 Ho 0.500 0.000 0.495
4 Ho 0.500 0.500 0.773
5 Pd 0.000 0.000 0.723
6 Pt 0.000 0.500 0.550
7 Pt 0.500 0.000 0.224
8 Pt 0.500 0.500 0.045

Most intense lines, 2θ from 5° to 70°, most intense first:
2θ = 32.30°, I = 100.0, (1 1 1); 2θ = 40.60°, I = 75.3, (1 1 3); 2θ = 40.47°, I = 32.9, (0 2 0); 2θ = 34.10°, I = 30.9, (0 0 4); 2θ = 39.80°, I = 22.3, (0 1 4); 2θ = 48.45°, I = 19.8, (2 0 0); 2θ = 53.92°, I = 16.9, (0 2 4); 2θ = 64.91°, I = 16.5, (2 2 0); 2θ = 35.00°, I = 14.1, (1 0 3); 2θ = 60.57°, I = 12.1, (2 0 4)

This entry pairs a crystal structure of Rb5As2 with its computed powder diffractogram. Radiation: Cu Kα X-rays. Structure: a crystal structure in Alexandria, relaxed with PBE.

Cell and atoms:
Cell: 8.817 17.608 7.692 Å, 90.00 90.00 90.00°
Space group Ibam (No. 72)
One atom of each set of equivalent atoms:
1 Rb 0.000 0.000 0.250
2 Rb 0.000 0.237 0.250
3 Rb 0.146 0.421 0.000
4 As 0.244 0.378 0.500

Most intense lines, 2θ from 5° to 70°, most intense first:
2θ = 30.86°, I = 100.0, (0 4 2); 2θ = 28.66°, I = 43.5, (2 4 0); 2θ = 25.77°, I = 24.6, (1 1 2); 2θ = 52.17°, I = 21.5, (2 8 2); 2θ = 27.27°, I = 16.0, (1 5 0); 2θ = 34.21°, I = 13.3, (3 2 1); 2θ = 27.84°, I = 13.1, (2 3 1); 2θ = 56.22°, I = 12.8, (2 4 4); 2θ = 25.27°, I = 11.3, (0 2 2); 2θ = 46.67°, I = 10.6, (3 5 2)

This entry pairs a crystal structure of V5Fe2CoRh2 with its computed powder diffractogram. Radiation: Cu Kα X-rays. Structure: a crystal structure in Alexandria, relaxed with PBE.

Cell and atoms:
Cell: 9.599 9.599 2.838 Å, 90.00 90.00 90.00°
Space group P4/mbm (No. 127)
One atom of each set of equivalent atoms:
1 V 0.000 0.500 0.000
2 V 0.080 0.190 0.000
3 Fe 0.132 0.368 0.500
4 Co 0.000 0.000 0.500
5 Rh 0.169 0.669 0.500

Most intense lines, 2θ from 5° to 70°, most intense first:
2θ = 43.66°, I = 100.0, (3 1 1); 2θ = 38.67°, I = 45.6, (4 1 0); 2θ = 46.79°, I = 21.5, (3 2 1); 2θ = 39.84°, I = 21.3, (3 3 0); 2θ = 42.10°, I = 18.6, (4 2 0); 2θ = 38.01°, I = 16.0, (2 1 1); 2θ = 29.42°, I = 12.0, (3 1 0); 2θ = 65.82°, I = 11.0, (0 0 2); 2θ = 41.48°, I = 10.5, (2 2 1); 2θ = 67.17°, I = 8.8, (6 0 1)

This entry pairs a crystal structure of AcMgAl2Pd2 with its computed powder diffractogram. Radiation: Cu Kα X-rays. Structure: a crystal structure in Alexandria, relaxed with PBE.

Cell and atoms:
Cell: 4.4689 4.4689 7.3735 Å, 90.00 90.00 120.00°
Space group P-3m1 (No. 164)
One atom of each set of equivalent atoms:
1 Ac 0.0000 0.0000 0.0000
2 Mg 0.0000 0.0000 0.5000
3 Al 0.3333 0.6667 0.3108
4 Pd 0.3333 0.6667 0.6676

Most intense lines, 2θ from 5° to 70°, most intense first:
2θ = 26.00°, I = 100.0, (1 0 1); 2θ = 33.57°, I = 77.0, (0 1 2); 2θ = 40.37°, I = 51.8, (1 1 0); 2θ = 55.59°, I = 32.5, (1 1 3); 2θ = 53.48°, I = 20.7, (2 0 2); 2θ = 69.08°, I = 19.2, (1 2 2); 2θ = 48.65°, I = 18.7, (0 2 1); 2θ = 36.56°, I = 18.1, (0 0 3); 2θ = 55.19°, I = 16.1, (1 0 4); 2θ = 65.00°, I = 15.8, (2 1 1)